This entry pairs a crystal structure of Ac7La4Nd with its theoretical X-ray powder pattern. Radiation: Cu Kα, 1.54184 Å. Structure: DFT lattice parameters and positions (GGA-PBE).
Neutral-atom scattering factors, no anomalous dispersion.

Structural model:
```
12
Lattice="6.5954 0.0000 0.0000 -0.0729 7.4143 0.0000 -0.5856 -2.9168 10.2481" Properties=species:S:1:pos:R:3 pbc="T T T"
Ac 0.0000 0.0000 0.0000
Ac 0.1212 5.1976 3.4085
Ac 2.5184 0.3872 5.0483
Ac 2.5944 -1.4963 8.6932
Ac 3.3424 5.9937 1.5549
Ac 3.4184 4.1102 5.1999
Ac 5.8157 -0.7001 6.8397
La 0.2154 2.9679 6.8530
La 2.5512 2.3650 1.9685
La 3.3856 2.1325 8.2796
La 5.7215 1.5295 3.3952
Nd -0.0365 3.7071 0.0000
```

Largest 10 diffraction maxima, most intense first, 2θ = 10–90°:
| Position (°2θ) | I/Imax |
| --- | --- |
| 28.69 | 100 |
| 30.19 | 69 |
| 29.79 | 44 |
| 29.42 | 43 |
| 27.09 | 35 |
| 31.40 | 21 |
| 44.55 | 16 |
| 23.24 | 16 |
| 28.47 | 13 |
| 47.95 | 13 |